Structure and calculated PXRD pattern of HfMg14ZnO16 (a cell relaxed with GGA-PBE; CuKα).
Peak positions follow from Bragg's law for the DFT cell and can differ from measured ones.

Principal peaks in the range 2θ = 5–70°, in order of falling intensity:
- 41.40 deg, rel. 100.0, hkl 4 0 0
- 14.36 deg, rel. 61.0, hkl 1 1 0
- 60.48 deg, rel. 57.6, hkl 4 0 2
- 42.04 deg, rel. 48.7, hkl 0 0 2
- 35.83 deg, rel. 48.6, hkl 2 2 1
- 10.14 deg, rel. 38.5, hkl 1 0 0
- 25.25 deg, rel. 38.3, hkl 1 1 1
- 20.36 deg, rel. 33.2, hkl 2 0 0
- 59.99 deg, rel. 29.0, hkl 4 4 0
- 29.17 deg, rel. 27.5, hkl 2 0 1
- 38.79 deg, rel. 25.6, hkl 3 1 1
- 32.46 deg, rel. 23.0, hkl 3 1 0

Structure:
a = 8.723 Å, b = 8.723 Å, c = 4.299 Å
α = 90.00°, β = 90.00°, γ = 90.00°
Element x y z (fractional)
Hf  0.000  0.000  0.000
Mg  0.000  0.261  0.500
Mg  0.000  0.500  0.000
Mg  0.000  0.739  0.500
Mg  0.253  0.500  0.500
Mg  0.259  0.259  0.000
Mg  0.259  0.741  0.000
Mg  0.261  0.000  0.500
Mg  0.500  0.000  0.000
Mg  0.500  0.253  0.500
Mg  0.500  0.747  0.500
Mg  0.739  0.000  0.500
Mg  0.741  0.259  0.000
Mg  0.741  0.741  0.000
Mg  0.747  0.500  0.500
Zn  0.500  0.500  0.000
O  0.000  0.000  0.500
O  0.000  0.246  0.000
O  0.000  0.500  0.500
O  0.000  0.754  0.000
O  0.230  0.500  0.000
O  0.246  0.000  0.000
O  0.247  0.247  0.500
O  0.247  0.753  0.500
O  0.500  0.000  0.500
O  0.500  0.230  0.000
O  0.500  0.500  0.500
O  0.500  0.770  0.000
O  0.753  0.247  0.500
O  0.753  0.753  0.500
O  0.754  0.000  0.000
O  0.770  0.500  0.000